For Nd2MnCrO6, a crystal structure in the Materials Project, relaxed with GGA+U gives the calculated X-ray powder pattern in this record (Cu Ka).
Neutral-atom scattering factors, no anomalous dispersion.

Principal peaks in the range 2θ from 10° to 80°, by angle:
Position (°2θ)	I_rel	(hkl)
30.97	27	0 2 0
32.33	100	2 0 -2
32.50	63	1 1 -3
45.38	28	2 2 -2
47.58	27	0 0 4
57.87	25	3 1 -5

Crystal structure
```
data_Nd2MnCrO6
_space_group_name_H-M_alt 'P 1 21/c 1'
_space_group_IT_number 14
_cell_length_a 5.537
_cell_length_b 5.775
_cell_length_c 9.407
_cell_angle_alpha 90.00
_cell_angle_beta 125.63
_cell_angle_gamma 90.00
loop_
_space_group_symop_operation_xyz
'x,y,z'
'-x,-y,-z'
'-x,y+1/2,-z+1/2'
'x,-y+1/2,z+1/2'
loop_
_atom_site_label
_atom_site_type_symbol
_atom_site_fract_x
_atom_site_fract_y
_atom_site_fract_z
_atom_site_occupancy
Nd1 Nd 0.235 0.061 0.250 1
Mn1 Mn 0.500 0.000 0.000 1
Cr1 Cr 0.000 0.000 0.500 1
O1 O 0.152 0.205 0.953 1
O2 O 0.242 0.695 0.950 1
O3 O 0.350 0.028 0.756 1
```